No. 1
Gd2Si3Ni: theoretical X-ray diffraction stick pattern (Cu Kα (weighted mean of Kα1 and Kα2)), based on DFT lattice parameters and positions (GGA-PBE).
Lines closer than 0.1° are merged.

Peak list (8 most intense, 2θ = 10–80°, by intensity)
hkl  2θ/deg  I_rel
1 0 2  33.85  100
1 0 0  25.37  39
1 1 0  44.70  33
2 0 2  57.23  22
1 1 4  65.27  20
2 1 2  75.40  19
1 0 4  52.33  11
0 0 4  44.96  10

Cell and atoms:
```
data_Gd2Si3Ni
_chemical_formula_sum 'Gd2 Si3 Ni1'
_cell_length_a 4.0546
_cell_length_b 4.0546
_cell_length_c 8.0644
_cell_angle_alpha 90.00
_cell_angle_beta 90.00
_cell_angle_gamma 120.00
_space_group_name_H-M_alt 'P -6 m 2'
_space_group_IT_number 187
_space_group_name_Hall 'P -6 2'
loop_
_atom_site_label
_atom_site_type_symbol
_atom_site_fract_x
_atom_site_fract_y
_atom_site_fract_z
_atom_site_occupancy
Gd1 Gd 0.0000 0.0000 0.2415 1
Si1 Si 0.3333 0.6667 0.0000 1
Si2 Si 0.3333 0.6667 0.5000 1
Si3 Si 0.6667 0.3333 0.5000 1
Ni1 Ni 0.6667 0.3333 0.0000 1
```



No. 2
NaYS2: theoretical X-ray diffraction stick pattern (Cu Kα (weighted mean of Kα1 and Kα2)), based on DFT lattice parameters and positions (GGA-PBE).
Lines closer than 0.1° are merged.

Peak list (8 most intense, 2θ = 10–80°, by intensity)
hkl  2θ/deg  I_rel
1 0 4  31.45  100
0 0 3  13.25  48
0 1 8  44.68  34
1 1 0  45.47  34
1 0 1  26.17  20
0 2 4  56.34  17
2 1 4  75.19  14
1 1 12  74.03  13

Cell and atoms:
```
data_NaYS2
_chemical_formula_sum 'Na3 Y3 S6'
_cell_length_a 3.9894
_cell_length_b 3.9894
_cell_length_c 20.0424
_cell_angle_alpha 90.00
_cell_angle_beta 90.00
_cell_angle_gamma 120.00
_space_group_name_H-M_alt 'R -3 m'
_space_group_IT_number 166
_space_group_name_Hall '-R 3 2"'
loop_
_atom_site_label
_atom_site_type_symbol
_atom_site_fract_x
_atom_site_fract_y
_atom_site_fract_z
_atom_site_occupancy
Na1 Na 0.0000 0.0000 0.0000 1
Y1 Y 0.0000 0.0000 0.5000 1
S1 S 0.0000 0.0000 0.2424 1
```



No. 3
SiRh2: theoretical X-ray diffraction stick pattern (Cu Kα (weighted mean of Kα1 and Kα2)), based on DFT lattice parameters and positions (GGA-PBE).
Lines closer than 0.1° are merged.

Peak list (8 most intense, 2θ = 10–80°, by intensity)
hkl  2θ/deg  I_rel
2 1 0  39.84  100
2 1 1  41.72  96
1 1 2  36.90  90
0 1 3  42.97  90
0 2 0  45.68  63
2 0 2  40.77  39
1 1 1  30.23  38
3 1 4  76.78  33

Cell and atoms:
```
data_SiRh2
_chemical_formula_sum 'Si4 Rh8'
_cell_length_a 5.5054
_cell_length_b 3.9724
_cell_length_c 7.4465
_cell_angle_alpha 90.00
_cell_angle_beta 90.00
_cell_angle_gamma 90.00
_space_group_name_H-M_alt 'P n m a'
_space_group_IT_number 62
_space_group_name_Hall '-P 2ac 2n'
loop_
_atom_site_label
_atom_site_type_symbol
_atom_site_fract_x
_atom_site_fract_y
_atom_site_fract_z
_atom_site_occupancy
Si1 Si 0.2222 0.2500 0.1057 1
Rh1 Rh 0.0258 0.2500 0.8038 1
Rh2 Rh 0.1587 0.2500 0.4297 1
```



No. 4
Sr3RhF12: theoretical X-ray diffraction stick pattern (Cu Kα (weighted mean of Kα1 and Kα2)), based on DFT lattice parameters and positions (GGA-PBE).
Lines closer than 0.1° are merged.

Peak list (8 most intense, 2θ = 10–80°, by intensity)
hkl  2θ/deg  I_rel
1 1 -1  19.88  100
2 2 0  27.69  95
0 4 0  24.67  69
0 0 2  43.05  53
2 2 -2  40.39  49
2 6 0  45.34  46
1 3 -1  26.52  45
0 0 1  21.14  40

Cell and atoms:
```
data_Sr3RhF12
_chemical_formula_sum 'Sr6 Rh2 F24'
_cell_length_a 8.1215
_cell_length_b 14.4329
_cell_length_c 4.7403
_cell_angle_alpha 90.00
_cell_angle_beta 117.56
_cell_angle_gamma 90.00
_space_group_name_H-M_alt 'C 1 2/m 1'
_space_group_IT_number 12
_space_group_name_Hall '-C 2y'
loop_
_atom_site_label
_atom_site_type_symbol
_atom_site_fract_x
_atom_site_fract_y
_atom_site_fract_z
_atom_site_occupancy
Sr1 Sr 0.0000 0.0000 0.0000 1
Sr2 Sr 0.2500 0.2500 0.5000 1
Rh1 Rh 0.0000 0.5000 0.5000 1
F1 F 0.0732 0.2029 0.8145 1
F2 F 0.0856 0.4117 0.8378 1
F3 F 0.2444 0.0807 0.4619 1
```



No. 5
KTaTiO5: theoretical X-ray diffraction stick pattern (Cu Kα (weighted mean of Kα1 and Kα2)), based on DFT lattice parameters and positions (GGA-PBE).
Lines closer than 0.1° are merged.

Peak list (8 most intense, 2θ = 10–80°, by intensity)
hkl  2θ/deg  I_rel
1 0 2  16.57  100
2 0 0  27.50  79
0 1 3  27.24  71
1 1 3  30.59  51
1 0 6  31.49  46
0 0 4  18.71  31
1 1 9  51.47  29
0 1 1  23.72  27

Cell and atoms:
```
data_KTaTiO5
_chemical_formula_sum 'K4 Ta4 Ti4 O20'
_cell_length_a 6.4820
_cell_length_b 3.8274
_cell_length_c 18.9678
_cell_angle_alpha 90.00
_cell_angle_beta 90.00
_cell_angle_gamma 90.00
_space_group_name_H-M_alt 'P n m a'
_space_group_IT_number 62
_space_group_name_Hall '-P 2ac 2n'
loop_
_atom_site_label
_atom_site_type_symbol
_atom_site_fract_x
_atom_site_fract_y
_atom_site_fract_z
_atom_site_occupancy
K1 K 0.2231 0.2500 0.1952 1
Ta1 Ta 0.2277 0.2500 0.8922 1
Ti1 Ti 0.1815 0.2500 0.5340 1
O1 O 0.0364 0.2500 0.6185 1
O2 O 0.0639 0.7500 0.0706 1
O3 O 0.1472 0.7500 0.5091 1
O4 O 0.1588 0.2500 0.7994 1
O5 O 0.2382 0.7500 0.9203 1
```



No. 6
Nb2O3: theoretical X-ray diffraction stick pattern (Cu Kα (weighted mean of Kα1 and Kα2)), based on DFT lattice parameters and positions (GGA-PBE).
Lines closer than 0.1° are merged.

Peak list (8 most intense, 2θ = 10–80°, by intensity)
hkl  2θ/deg  I_rel
1 1 1  35.90  100
2 0 0  16.20  92
6 0 0  50.02  86
2 0 -2  24.38  86
3 1 -3  49.07  50
2 0 2  35.24  47
3 1 -1  38.95  46
4 0 -2  32.99  37

Cell and atoms:
```
data_Nb2O3
_chemical_formula_sum 'Nb8 O12'
_cell_length_a 11.8310
_cell_length_b 2.8714
_cell_length_c 7.5869
_cell_angle_alpha 90.00
_cell_angle_beta 112.33
_cell_angle_gamma 90.00
_space_group_name_H-M_alt 'C 1 2/m 1'
_space_group_IT_number 12
_space_group_name_Hall '-C 2y'
loop_
_atom_site_label
_atom_site_type_symbol
_atom_site_fract_x
_atom_site_fract_y
_atom_site_fract_z
_atom_site_occupancy
Nb1 Nb 0.1596 0.0000 0.3577 1
Nb2 Nb 0.1630 0.5000 0.8454 1
O1 O 0.0262 0.0000 0.7938 1
O2 O 0.1385 0.5000 0.5535 1
O3 O 0.1898 0.5000 0.1532 1
```



Number 2 is which compound? NaYS2